No. 1
Theoretical X-ray powder pattern of PmPu2I8 for Cu Kα (weighted mean of Kα1 and Kα2), from a cell relaxed with PBE.
Neutral-atom scattering factors, no anomalous dispersion.

Cell and atoms:
a = 15.1355 Å, b = 9.7435 Å, c = 8.3537 Å
α = 90.00°, β = 113.98°, γ = 90.00°
Space group C2/m (No. 12)
One atom of each set of equivalent atoms:
Pm 0.0000 0.0000 0.0000
Pu 0.1252 0.0000 0.5528
I 0.0346 0.2097 0.7463
I 0.1764 0.5000 0.1747
I 0.2129 0.0000 0.2670

The 10 most intense peaks (5 to 70 degrees two-theta), by intensity:
d_spacing, Position (°2θ), intensity, (hkl)
7.965, 11.11, 100, 1 1 0
3.148, 28.35, 64, 2 2 -2
3.197, 27.91, 35, 3 1 1
3.983, 22.32, 29, 2 2 0
4.872, 18.21, 26, 0 2 0
2.756, 32.48, 25, 4 0 1
2.229, 40.48, 20, 6 2 -1
6.296, 14.07, 20, 1 1 -1
2.436, 36.90, 19, 0 4 0
2.213, 40.77, 18, 5 3 -1

No. 2
Theoretical X-ray powder pattern of RbPm4I8 for Cu Kα (weighted mean of Kα1 and Kα2), from a cell relaxed with PBE.
Neutral-atom scattering factors, no anomalous dispersion.

Cell and atoms:
a = 8.2308 Å, b = 8.2308 Å, c = 30.0543 Å
α = 90.00°, β = 90.00°, γ = 120.00°
Space group R-3m (No. 166, hexagonal axes)
One atom of each set of equivalent atoms:
Rb 0.0000 0.0000 0.0000
Pm 0.0000 0.0000 0.5000
Pm 0.0000 0.5000 0.5000
I 0.0000 0.0000 0.2373
I 0.0018 0.5009 0.2380

The 10 most intense peaks (5 to 70 degrees two-theta), by intensity:
d_spacing, Position (°2θ), intensity, (hkl)
3.220, 27.70, 100, 0 2 4
10.018, 8.83, 89, 0 0 3
2.586, 34.69, 46, 2 0 8
2.058, 44.01, 30, 2 2 0
2.742, 32.65, 25, 0 2 7
2.168, 41.65, 19, 2 0 11
1.734, 52.80, 16, 4 0 4
1.590, 58.01, 15, 2 2 12
1.436, 64.96, 13, 2 2 15
1.610, 57.22, 11, 0 4 8

No. 3
Theoretical X-ray powder pattern of Rb4PmI5 for Cu Kα (weighted mean of Kα1 and Kα2), from a cell relaxed with PBE.
Neutral-atom scattering factors, no anomalous dispersion.

Cell and atoms:
a = 11.4831 Å, b = 11.4831 Å, c = 7.2373 Å
α = 90.00°, β = 90.00°, γ = 90.00°
Space group I4 (No. 79)
One atom of each set of equivalent atoms:
Rb 0.0922 0.7028 0.0000
Pm 0.0000 0.0000 0.4964
I 0.0000 0.0000 0.9756
I 0.0900 0.7270 0.4995

The 10 most intense peaks (5 to 70 degrees two-theta), by intensity:
d_spacing, Position (°2θ), intensity, (hkl)
3.627, 24.54, 100, 0 0 2
2.565, 34.99, 76, 3 1 2
2.094, 43.20, 27, 2 4 2
1.623, 56.70, 20, 6 2 2
1.482, 62.71, 14, 5 5 2
1.619, 56.85, 12, 3 1 4
1.479, 62.83, 9, 2 4 4
1.816, 50.25, 8, 6 2 0
8.120, 10.90, 6, 1 1 0
1.809, 50.44, 5, 0 0 4

No. 4
Theoretical X-ray powder pattern of Rb3PmI8 for Cu Kα (weighted mean of Kα1 and Kα2), from a cell relaxed with PBE.
Neutral-atom scattering factors, no anomalous dispersion.

Cell and atoms:
a = 8.2301 Å, b = 8.2301 Å, c = 17.6632 Å
α = 90.00°, β = 90.00°, γ = 90.00°
Space group I4/mmm (No. 139)
One atom of each set of equivalent atoms:
Rb 0.0000 0.0000 0.0000
Rb 0.0000 0.5000 0.2500
Pm 0.0000 0.0000 0.5000
I 0.2270 0.2270 0.3886

The 10 most intense peaks (5 to 70 degrees two-theta), by intensity:
d_spacing, Position (°2θ), intensity, (hkl)
3.010, 29.67, 100, 2 0 4
2.910, 30.73, 47, 2 2 0
4.859, 18.26, 32, 1 1 2
1.699, 53.98, 29, 4 2 4
4.115, 21.60, 20, 2 0 0
2.058, 44.01, 15, 4 0 0
1.759, 51.99, 15, 2 2 8
7.460, 11.86, 14, 1 0 1
4.416, 20.11, 11, 0 0 4
2.496, 35.97, 11, 3 1 2

No. 5
Theoretical X-ray powder pattern of PmRhI6 for Cu Kα (weighted mean of Kα1 and Kα2), from a cell relaxed with PBE.
Neutral-atom scattering factors, no anomalous dispersion.

Cell and atoms:
a = 7.2591 Å, b = 7.2591 Å, c = 19.7856 Å
α = 90.00°, β = 90.00°, γ = 120.00°
Space group R-3 (No. 148, hexagonal axes)
One atom of each set of equivalent atoms:
Pm 0.0000 0.0000 0.0000
Rh 0.0000 0.0000 0.5000
I 0.0141 0.6998 0.4215

The 10 most intense peaks (5 to 70 degrees two-theta), by intensity:
d_spacing, Position (°2θ), intensity, (hkl)
3.180, 28.06, 100, 1 1 3
2.441, 36.83, 47, 2 -1 6
2.096, 43.17, 33, 3 0 0
5.306, 16.71, 32, 0 1 2
1.880, 48.41, 20, 1 1 9
1.750, 52.28, 14, 4 -2 3
3.887, 22.88, 13, 1 0 4
1.590, 58.01, 11, 2 2 6
3.298, 27.04, 11, 0 0 6
2.142, 42.19, 10, 3 -1 4

No. 6
Theoretical X-ray powder pattern of Pm2RhI2 for Cu Kα (weighted mean of Kα1 and Kα2), from a cell relaxed with PBE.
Neutral-atom scattering factors, no anomalous dispersion.

Cell and atoms:
a = 7.2402 Å, b = 4.1805 Å, c = 12.2749 Å
α = 90.00°, β = 102.54°, γ = 90.00°
Space group C2/m (No. 12)
One atom of each set of equivalent atoms:
Pm 0.2154 0.0000 0.1327
Rh 0.0000 0.5000 0.0000
I 0.0510 0.0000 0.6853

The 10 most intense peaks (5 to 70 degrees two-theta), by intensity:
d_spacing, Position (°2θ), intensity, (hkl)
11.982, 7.38, 100, 0 0 1
2.944, 30.36, 74, 1 1 2
2.090, 43.29, 46, 0 2 0
2.989, 29.90, 45, 2 0 -3
3.346, 26.64, 24, 1 1 1
2.105, 42.97, 24, 1 1 -5
1.713, 53.50, 21, 2 2 -3
3.602, 24.72, 19, 2 0 -1
2.834, 31.57, 12, 1 1 -3
2.399, 37.49, 12, 2 0 3

No. 7
Theoretical X-ray powder pattern of Pm3RuI3 for Cu Kα (weighted mean of Kα1 and Kα2), from a cell relaxed with PBE.
Neutral-atom scattering factors, no anomalous dispersion.

Cell and atoms:
a = 9.2746 Å, b = 4.2761 Å, c = 12.5668 Å
α = 90.00°, β = 92.66°, γ = 90.00°
Space group P2_1/m (No. 11)
One atom of each set of equivalent atoms:
Pm 0.0997 0.2500 0.3882
Pm 0.1123 0.2500 0.8278
Pm 0.3017 0.7500 0.6153
Ru 0.1017 0.2500 0.6157
I 0.1353 0.2500 0.1156
I 0.3633 0.7500 0.8718
I 0.4012 0.7500 0.3669

The 10 most intense peaks (5 to 70 degrees two-theta), by intensity:
d_spacing, Position (°2θ), intensity, (hkl)
3.141, 28.42, 100, 2 1 0
2.256, 39.96, 23, 2 1 -4
12.553, 7.04, 20, 0 0 1
2.186, 41.30, 17, 2 1 4
9.265, 9.55, 16, 1 0 0
2.138, 42.27, 14, 0 2 0
1.767, 51.74, 12, 0 2 4
2.316, 38.88, 9, 4 0 0
1.570, 58.80, 7, 4 2 0
2.991, 29.88, 7, 0 1 3

No. 8
Theoretical X-ray powder pattern of Pm6Ru2SeI3 for Cu Kα (weighted mean of Kα1 and Kα2), from a cell relaxed with PBE.
Neutral-atom scattering factors, no anomalous dispersion.

Cell and atoms:
a = 7.3293 Å, b = 12.6851 Å, c = 8.3328 Å
α = 90.00°, β = 107.03°, γ = 90.00°
Space group C2/m (No. 12)
One atom of each set of equivalent atoms:
Pm 0.2060 0.0000 0.1875
Pm 0.2400 0.3218 0.1884
Ru 0.0000 0.1671 0.0000
Se 0.0000 0.5000 0.0000
I 0.0000 0.0000 0.5000
I 0.0000 0.3367 0.5000

The 10 most intense peaks (5 to 70 degrees two-theta), by intensity:
d_spacing, Position (°2θ), intensity, (hkl)
3.123, 28.58, 100, 2 0 -2
2.115, 42.75, 37, 3 3 -1
2.315, 38.90, 27, 1 3 -3
1.751, 52.24, 17, 2 6 -2
2.908, 30.75, 15, 2 0 1
1.349, 69.72, 13, 5 3 -3
1.654, 55.54, 11, 3 3 2
2.498, 35.95, 10, 1 3 2
7.968, 11.10, 9, 0 0 1
2.656, 33.75, 9, 0 0 3